Calculated powder diffraction line list of Sm3HfSi6 for Cu Kα X-rays, from the GGA-PBE geometry in Alexandria.

Top 8 peaks for 15 to 90 degrees two-theta, sorted by position:
Position (°2θ)	intensity
18.3	78
28.8	46
29.0	49
31.8	42
34.1	98
37.0	100
37.2	86
59.2	30

abc: 7.4868 7.4868 7.4868
angles: 97.48 97.48 97.48
Positions (direct):
Sm1 0.1854 0.7500 0.3146
Sm2 0.2500 0.6854 0.8146
Sm3 0.3146 0.1854 0.7500
Sm4 0.6854 0.8146 0.2500
Sm5 0.7500 0.3146 0.1854
Sm6 0.8146 0.2500 0.6854
Hf1 0.0000 0.0000 0.0000
Hf2 0.5000 0.5000 0.5000
Si1 0.0182 0.0912 0.3759
Si2 0.0912 0.3759 0.0182
Si3 0.1241 0.4088 0.4818
Si4 0.3759 0.0182 0.0912
Si5 0.4088 0.4818 0.1241
Si6 0.4818 0.1241 0.4088
Si7 0.5182 0.8759 0.5912
Si8 0.5912 0.5182 0.8759
Si9 0.6241 0.9818 0.9088
Si10 0.8759 0.5912 0.5182
Si11 0.9088 0.6241 0.9818
Si12 0.9818 0.9088 0.6241